Starting from the PBE geometry in Alexandria, the powder diffraction line list of CuAg4F7 was computed for Cu Kα, 1.54184 Å.

Structure:
Cell lengths 8.951, 8.951, 5.712 Å; angles 102.78, 102.78, 23.94 degrees
Positions (direct):
Cu (0.000, 0.000, 0.000)
Ag (0.294, 0.294, 0.772)
Ag (0.412, 0.412, 0.463)
Ag (0.588, 0.588, 0.537)
Ag (0.706, 0.706, 0.228)
F (0.053, 0.053, 0.746)
F (0.128, 0.128, 0.311)
F (0.280, 0.280, 0.216)
F (0.500, 0.500, 0.000)
F (0.720, 0.720, 0.784)
F (0.872, 0.872, 0.689)
F (0.947, 0.947, 0.254)

Main lines, by angle (2θ = 10–80°):
| d [Å] | two_theta | intensity |
| --- | --- | --- |
| 3.109 | 28.7 | 54 |
| 3.067 | 29.1 | 100 |
| 2.974 | 30.0 | 86 |
| 2.841 | 31.5 | 72 |
| 2.801 | 31.9 | 54 |
| 2.041 | 44.4 | 70 |
| 2.037 | 44.5 | 52 |
| 1.856 | 49.1 | 43 |
| 1.727 | 53.0 | 36 |
| 1.588 | 58.1 | 38 |

Starting from the PBE geometry in Alexandria, the powder diffraction line list of Cu4Ag2F9 was computed for Cu Kα, 1.54184 Å.

Structure:
Cell lengths 5.591, 5.591, 15.619 Å; angles 100.12, 100.12, 61.04 degrees
Positions (direct):
Cu (0.082, 0.220, 0.181)
Cu (0.162, 0.181, 0.486)
Cu (0.181, 0.162, 0.986)
Cu (0.220, 0.082, 0.681)
Cu (0.780, 0.918, 0.319)
Cu (0.819, 0.838, 0.014)
Cu (0.838, 0.819, 0.514)
Cu (0.918, 0.780, 0.819)
Ag (0.468, 0.505, 0.343)
Ag (0.495, 0.532, 0.157)
Ag (0.505, 0.468, 0.843)
Ag (0.532, 0.495, 0.657)
F (0.064, 0.544, 0.256)
F (0.071, 0.562, 0.930)
F (0.093, 0.899, 0.407)
F (0.101, 0.907, 0.093)
F (0.148, 0.504, 0.570)
F (0.168, 0.832, 0.750)
F (0.438, 0.929, 0.570)
F (0.456, 0.936, 0.244)
F (0.496, 0.852, 0.930)
F (0.504, 0.148, 0.070)
F (0.544, 0.064, 0.756)
F (0.562, 0.071, 0.430)
F (0.832, 0.168, 0.250)
F (0.852, 0.496, 0.430)
F (0.899, 0.093, 0.907)
F (0.907, 0.101, 0.593)
F (0.929, 0.438, 0.070)
F (0.936, 0.456, 0.744)

Main lines, by angle (2θ = 10–80°):
| d [Å] | two_theta | intensity |
| --- | --- | --- |
| 4.315 | 20.6 | 44 |
| 3.691 | 24.1 | 41 |
| 3.319 | 26.9 | 99 |
| 2.863 | 31.2 | 62 |
| 2.839 | 31.5 | 38 |
| 2.750 | 32.6 | 100 |
| 2.158 | 41.9 | 40 |
| 2.062 | 43.9 | 47 |
| 1.897 | 48.0 | 45 |
| 1.722 | 53.2 | 44 |

Starting from the PBE geometry in Alexandria, the powder diffraction line list of Cu4AgF7 was computed for Cu Kα, 1.54184 Å.

Structure:
Cell lengths 8.647, 8.647, 8.647 Å; angles 153.81, 43.01, 146.51 degrees
Positions (direct):
Cu (0.078, 0.000, 0.078)
Cu (0.393, 0.648, 0.745)
Cu (0.903, 0.648, 0.255)
Cu (0.922, 0.000, 0.922)
Ag (0.647, 0.147, 0.500)
F (0.242, 0.617, 0.624)
F (0.296, 0.296, 0.000)
F (0.387, 0.145, 0.242)
F (0.530, 0.663, 0.867)
F (0.796, 0.663, 0.133)
F (0.903, 0.145, 0.758)
F (0.993, 0.617, 0.376)

Main lines, by angle (2θ = 10–80°):
| d [Å] | two_theta | intensity |
| --- | --- | --- |
| 4.760 | 18.6 | 19 |
| 4.023 | 22.1 | 24 |
| 3.651 | 24.4 | 14 |
| 2.877 | 31.1 | 100 |
| 2.703 | 33.1 | 18 |
| 2.490 | 36.1 | 44 |
| 2.118 | 42.7 | 15 |
| 2.086 | 43.4 | 33 |
| 2.023 | 44.8 | 15 |
| 1.959 | 46.3 | 34 |